[1]
Structure and simulated XRD peak list of Ta14TiMo (a cell relaxed with GGA-PBE; CuKα).

Largest 10 diffraction maxima, in order of rising 2θ, 2θ from 10° to 80°:
d/Å, Position (°2θ), Rel. int.
4.666, 19.02, 2.0
4.171, 21.30, 1.0
2.705, 33.12, 1.0
2.598, 34.52, 1.1
2.340, 38.47, 100.0
2.332, 38.61, 49.5
1.660, 55.33, 8.8
1.649, 55.75, 17.1
1.352, 69.50, 17.6
1.348, 69.77, 34.8

Structural model:
a b c (Å): 5.725 5.725 9.328
angles (deg): 90.00 90.00 109.10
Element x y z (fractional)
Ta  0.000  0.000  0.000
Ta  0.000  0.500  0.000
Ta  0.000  0.500  0.500
Ta  0.244  0.756  0.250
Ta  0.244  0.756  0.750
Ta  0.258  0.258  0.256
Ta  0.258  0.258  0.744
Ta  0.500  0.000  0.000
Ta  0.500  0.000  0.500
Ta  0.500  0.500  0.000
Ta  0.742  0.742  0.256
Ta  0.742  0.742  0.744
Ta  0.756  0.244  0.250
Ta  0.756  0.244  0.750
Ti  0.000  0.000  0.500
Mo  0.500  0.500  0.500

=====

[2]
Structure and simulated XRD peak list of RbTl2HgAu2 (a cell relaxed with GGA-PBE; CuKα).

Largest 10 diffraction maxima, in order of rising 2θ, 2θ from 10° to 80°:
d/Å, Position (°2θ), Rel. int.
6.773, 13.07, 100.0
3.327, 26.80, 21.4
2.869, 31.17, 93.6
2.701, 33.17, 99.4
2.534, 35.43, 36.7
2.509, 35.79, 38.1
1.967, 46.16, 64.2
1.910, 47.62, 36.7
1.435, 65.01, 29.1
1.370, 68.49, 20.1

Structural model:
a b c (Å): 5.401 5.401 6.773
angles (deg): 90.00 90.00 90.00
Element x y z (fractional)
Rb  0.000  0.000  0.000
Tl  0.500  0.500  0.255
Tl  0.500  0.500  0.745
Hg  0.000  0.000  0.500
Au  0.000  0.500  0.500
Au  0.500  0.000  0.500

=====

[3]
Structure and simulated XRD peak list of Nd3Sm2Dy (a cell relaxed with GGA-PBE; CuKα).

Largest 10 diffraction maxima, in order of rising 2θ, 2θ from 10° to 80°:
d/Å, Position (°2θ), Rel. int.
3.041, 29.37, 93.3
3.026, 29.52, 37.7
2.822, 31.70, 100.0
2.813, 31.81, 92.6
2.789, 32.09, 19.5
1.865, 48.83, 18.2
1.857, 49.05, 22.3
1.712, 53.52, 17.8
1.706, 53.72, 23.1
1.590, 58.02, 34.3

Structural model:
a b c (Å): 8.569 3.730 12.949
angles (deg): 90.00 90.02 90.00
Element x y z (fractional)
Nd  0.086  0.250  0.390
Nd  0.348  0.750  0.946
Nd  0.395  0.750  0.251
Nd  0.605  0.250  0.749
Nd  0.652  0.250  0.054
Nd  0.914  0.750  0.610
Sm  0.084  0.250  0.110
Sm  0.350  0.750  0.552
Sm  0.650  0.250  0.448
Sm  0.916  0.750  0.890
Dy  0.191  0.250  0.749
Dy  0.809  0.750  0.251

=====

[4]
Structure and simulated XRD peak list of La2Pr3Rh3 (a cell relaxed with GGA-PBE; CuKα).

Largest 10 diffraction maxima, in order of rising 2θ, 2θ from 10° to 80°:
d/Å, Position (°2θ), Rel. int.
6.512, 13.60, 35.8
5.247, 16.90, 59.1
3.801, 23.40, 42.4
3.090, 28.89, 47.0
2.954, 30.26, 39.2
2.866, 31.21, 100.0
2.677, 33.48, 35.6
2.669, 33.58, 31.8
2.101, 43.04, 31.7
1.955, 46.45, 53.8

Structural model:
a b c (Å): 7.115 7.115 14.044
angles (deg): 90.16 90.16 47.51
Element x y z (fractional)
La  0.000  0.000  0.000
La  0.002  0.002  0.634
La  0.328  0.328  0.497
La  0.612  0.612  0.187
Pr  0.329  0.329  0.130
Pr  0.409  0.409  0.818
Pr  0.610  0.610  0.449
Pr  0.719  0.719  0.946
Pr  0.720  0.720  0.685
Pr  0.920  0.920  0.316
Rh  0.449  0.449  0.312
Rh  0.509  0.509  0.627
Rh  0.512  0.512  0.008
Rh  0.814  0.814  0.127
Rh  0.819  0.819  0.506
Rh  0.886  0.886  0.817

=====

[5]
Structure and simulated XRD peak list of CrIr6Ru2 (a cell relaxed with GGA-PBE; CuKα).

Largest 10 diffraction maxima, in order of rising 2θ, 2θ from 10° to 80°:
d/Å, Position (°2θ), Rel. int.
5.887, 15.05, 29.7
3.182, 28.04, 21.6
2.943, 30.37, 48.5
2.277, 39.59, 100.0
2.037, 44.48, 66.2
1.962, 46.27, 16.6
1.925, 47.22, 83.1
1.400, 66.84, 17.6
1.325, 71.13, 30.3
1.209, 79.27, 19.1

Structural model:
a b c (Å): 6.635 6.635 6.635
angles (deg): 47.10 47.10 47.10
Element x y z (fractional)
Cr  0.000  0.000  0.000
Ir  0.239  0.720  0.720
Ir  0.444  0.931  0.931
Ir  0.720  0.239  0.720
Ir  0.720  0.720  0.239
Ir  0.931  0.444  0.931
Ir  0.931  0.931  0.444
Ru  0.262  0.262  0.262
Ru  0.391  0.391  0.391

=====

[6]
Structure and simulated XRD peak list of URhPbS3 (a cell relaxed with GGA-PBE; CuKα).

Largest 10 diffraction maxima, in order of rising 2θ, 2θ from 10° to 80°:
d/Å, Position (°2θ), Rel. int.
6.745, 13.13, 73.7
4.410, 20.14, 20.4
4.253, 20.89, 20.4
3.535, 25.20, 44.4
3.514, 25.34, 23.0
2.831, 31.60, 100.0
2.618, 34.25, 32.4
2.347, 38.34, 54.8
2.253, 40.02, 22.0
1.929, 47.11, 21.2

Structural model:
a b c (Å): 8.496 3.858 8.990
angles (deg): 90.00 101.17 90.00
Element x y z (fractional)
U  0.164  0.250  0.156
U  0.836  0.750  0.844
Rh  0.397  0.750  0.402
Rh  0.603  0.250  0.598
Pb  0.365  0.750  0.710
Pb  0.635  0.250  0.290
S  0.059  0.250  0.849
S  0.249  0.250  0.446
S  0.368  0.750  0.120
S  0.632  0.250  0.880
S  0.751  0.750  0.554
S  0.941  0.750  0.151

=====

Please write out number 6 again, unchanged.
Structure and simulated XRD peak list of URhPbS3 (a cell relaxed with GGA-PBE; CuKα).

Largest 10 diffraction maxima, in order of rising 2θ, 2θ from 10° to 80°:
d/Å, Position (°2θ), Rel. int.
6.745, 13.13, 73.7
4.410, 20.14, 20.4
4.253, 20.89, 20.4
3.535, 25.20, 44.4
3.514, 25.34, 23.0
2.831, 31.60, 100.0
2.618, 34.25, 32.4
2.347, 38.34, 54.8
2.253, 40.02, 22.0
1.929, 47.11, 21.2

Structural model:
a b c (Å): 8.496 3.858 8.990
angles (deg): 90.00 101.17 90.00
Element x y z (fractional)
U  0.164  0.250  0.156
U  0.836  0.750  0.844
Rh  0.397  0.750  0.402
Rh  0.603  0.250  0.598
Pb  0.365  0.750  0.710
Pb  0.635  0.250  0.290
S  0.059  0.250  0.849
S  0.249  0.250  0.446
S  0.368  0.750  0.120
S  0.632  0.250  0.880
S  0.751  0.750  0.554
S  0.941  0.750  0.151

=====

Please write out number 5 again, unchanged.
Structure and simulated XRD peak list of CrIr6Ru2 (a cell relaxed with GGA-PBE; CuKα).

Largest 10 diffraction maxima, in order of rising 2θ, 2θ from 10° to 80°:
d/Å, Position (°2θ), Rel. int.
5.887, 15.05, 29.7
3.182, 28.04, 21.6
2.943, 30.37, 48.5
2.277, 39.59, 100.0
2.037, 44.48, 66.2
1.962, 46.27, 16.6
1.925, 47.22, 83.1
1.400, 66.84, 17.6
1.325, 71.13, 30.3
1.209, 79.27, 19.1

Structural model:
a b c (Å): 6.635 6.635 6.635
angles (deg): 47.10 47.10 47.10
Element x y z (fractional)
Cr  0.000  0.000  0.000
Ir  0.239  0.720  0.720
Ir  0.444  0.931  0.931
Ir  0.720  0.239  0.720
Ir  0.720  0.720  0.239
Ir  0.931  0.444  0.931
Ir  0.931  0.931  0.444
Ru  0.262  0.262  0.262
Ru  0.391  0.391  0.391